Sc3HgPd5: theoretical powder diffractogram (Cu Kα (weighted mean of Kα1 and Kα2)), based on a GGA-PBE-relaxed structure.
Lines closer than 0.1° are merged.

```
data_Sc3HgPd5
_cell_length_a 8.0642
_cell_length_b 8.0642
_cell_length_c 5.6546
_cell_angle_alpha 90.00
_cell_angle_beta 90.00
_cell_angle_gamma 120.00
_symmetry_space_group_name_H-M 'P 1'
_symmetry_Int_Tables_number 1
_symmetry_space_group_name_Hall 'P 1'
loop_
_atom_site_label
_atom_site_type_symbol
_atom_site_fract_x
_atom_site_fract_y
_atom_site_fract_z
Sc1 Sc 0.0000 0.3558 0.2500
Sc2 Sc 0.0000 0.6442 0.7500
Sc3 Sc 0.3558 0.0000 0.2500
Sc4 Sc 0.3558 0.3558 0.7500
Sc5 Sc 0.6442 0.0000 0.7500
Sc6 Sc 0.6442 0.6442 0.2500
Hg1 Hg 0.0000 0.0000 0.0000
Hg2 Hg 0.0000 0.0000 0.5000
Pd1 Pd 0.0000 0.3230 0.7500
Pd2 Pd 0.0000 0.6770 0.2500
Pd3 Pd 0.3230 0.0000 0.7500
Pd4 Pd 0.3230 0.3230 0.2500
Pd5 Pd 0.3333 0.6667 0.0000
Pd6 Pd 0.3333 0.6667 0.5000
Pd7 Pd 0.6667 0.3333 0.0000
Pd8 Pd 0.6667 0.3333 0.5000
Pd9 Pd 0.6770 0.0000 0.2500
Pd10 Pd 0.6770 0.6770 0.7500
```

The 6 most intense peaks (10° ≤ 2θ ≤ 90°), low angle first:
hkl 1 1 0, 2θ = 22.05°, I = 18; hkl 3 0 0, 2θ = 38.68°, I = 91; hkl 1 1 2, 2θ = 38.90°, I = 100; hkl 2 2 2, 2θ = 56.02°, I = 33; hkl 4 1 2, 2θ = 70.15°, I = 33; hkl 3 0 4, 2θ = 79.29°, I = 22

=====

PuMnP: theoretical powder diffractogram (Cu Kα (weighted mean of Kα1 and Kα2)), based on a GGA-PBE-relaxed structure.
Lines closer than 0.1° are merged.

```
data_PuMnP
_cell_length_a 3.8938
_cell_length_b 3.8938
_cell_length_c 6.5730
_cell_angle_alpha 90.00
_cell_angle_beta 90.00
_cell_angle_gamma 90.00
_symmetry_space_group_name_H-M 'P 1'
_symmetry_Int_Tables_number 1
_symmetry_space_group_name_Hall 'P 1'
loop_
_atom_site_label
_atom_site_type_symbol
_atom_site_fract_x
_atom_site_fract_y
_atom_site_fract_z
Pu1 Pu 0.2500 0.2500 0.1673
Pu2 Pu 0.7500 0.7500 0.8327
Mn1 Mn 0.2500 0.7500 0.5000
Mn2 Mn 0.7500 0.2500 0.5000
P1 P 0.2500 0.2500 0.6968
P2 P 0.7500 0.7500 0.3032
```

The 6 most intense peaks (10° ≤ 2θ ≤ 90°), low angle first:
hkl 1 0 1, 2θ = 26.61°, I = 100; hkl 1 1 0, 2θ = 32.52°, I = 44; hkl 1 1 1, 2θ = 35.34°, I = 43; hkl 1 0 2, 2θ = 35.75°, I = 77; hkl 1 1 2, 2θ = 42.85°, I = 37; hkl 2 0 0, 2θ = 46.65°, I = 38